Structure and calculated PXRD pattern of Li6Fe3Sb3O16 (a GGA+U-relaxed structure; Cu Kα, 1.54184 Å).

Structural model:
Unit cell a=10.501 b=6.087 c=10.069 alpha=90.00 beta=90.07 gamma=90.00
Space group Cm (No. 8)
Asymmetric unit:
Li1 0.000 0.000 0.000 (multiplicity 2)
Li2 0.001 0.000 0.495 (multiplicity 2)
Li3 0.151 0.500 0.510 (multiplicity 2)
Li4 0.156 0.500 0.885 (multiplicity 2)
Li5 0.322 0.000 0.370 (multiplicity 2)
Li6 0.329 0.000 0.013 (multiplicity 2)
Fe1 0.073 0.252 0.212 (multiplicity 4)
Fe2 0.153 0.000 0.714 (multiplicity 2)
Sb1 0.320 0.500 0.211 (multiplicity 2)
Sb2 0.400 0.247 0.712 (multiplicity 4)
O1 0.007 0.500 0.308 (multiplicity 2)
O2 0.064 0.228 0.611 (multiplicity 4)
O3 0.142 0.000 0.117 (multiplicity 2)
O4 0.163 0.500 0.094 (multiplicity 2)
O5 0.227 0.269 0.317 (multiplicity 4)
O6 0.240 0.227 0.814 (multiplicity 4)
O7 0.332 0.000 0.592 (multiplicity 2)
O8 0.334 0.500 0.597 (multiplicity 2)
O9 0.418 0.270 0.105 (multiplicity 4)
O10 0.472 0.000 0.825 (multiplicity 2)
O11 0.472 0.500 0.823 (multiplicity 2)
O12 0.481 0.500 0.318 (multiplicity 2)

Most intense lines, 10° ≤ 2θ ≤ 90°, sorted by position:
d [Å]	I (rel.)	h k l
5.257	18	2 0 0
5.034	100	0 0 2
4.662	46	2 0 1
3.636	13	2 0 2
2.829	12	2 0 3
2.601	14	3 1 -2
2.546	41	4 0 -1
2.332	20	4 0 -2
2.071	36	2 2 -3
1.599	20	2 2 -5
1.517	11	6 2 0
1.453	10	6 2 2